# 1
# Hg5As
Theoretical X-ray diffraction stick pattern, λ = 1.5418 Å (Cu Kα). Input: DFT lattice parameters and positions (PBE).
No peak broadening, texture or thermal motion is included.

Structural model:
a = 5.860 Å, b = 5.860 Å, c = 6.226 Å
α = 90.00°, β = 90.00°, γ = 132.09°
Positions (direct):
Hg 0.000 0.000 0.000
Hg 0.334 0.666 0.000
Hg 0.342 0.658 0.500
Hg 0.658 0.342 0.500
Hg 0.666 0.334 0.000
As 0.000 0.000 0.500

Largest 12 diffraction maxima, in order of rising 2θ, 2θ = 15–90°:
| 2θ (°) | I/Imax |
| --- | --- |
| 28.68 | 63 |
| 31.32 | 100 |
| 37.82 | 31 |
| 42.98 | 86 |
| 48.14 | 31 |
| 51.18 | 13 |
| 59.72 | 16 |
| 64.27 | 13 |
| 65.36 | 12 |
| 68.68 | 22 |
| 71.85 | 19 |
| 72.89 | 18 |

---

# 2
# Ca2Be4GaSi3
Theoretical X-ray diffraction stick pattern, λ = 1.5418 Å (Cu Kα). Input: DFT lattice parameters and positions (PBE).
No peak broadening, texture or thermal motion is included.

Structural model:
a = 3.908 Å, b = 3.908 Å, c = 9.904 Å
α = 90.00°, β = 90.00°, γ = 90.00°
Positions (direct):
Ca 0.000 0.500 0.243
Ca 0.500 0.000 0.757
Be 0.000 0.000 0.000
Be 0.000 0.500 0.640
Be 0.500 0.000 0.360
Be 0.500 0.500 0.000
Ga 0.000 0.000 0.500
Si 0.000 0.500 0.870
Si 0.500 0.000 0.130
Si 0.500 0.500 0.500

Largest 12 diffraction maxima, in order of rising 2θ, 2θ = 15–90°:
| 2θ (°) | I/Imax |
| --- | --- |
| 24.49 | 21 |
| 27.01 | 26 |
| 29.11 | 16 |
| 33.67 | 50 |
| 35.60 | 49 |
| 37.26 | 100 |
| 46.48 | 44 |
| 51.74 | 19 |
| 54.58 | 14 |
| 59.89 | 19 |
| 67.84 | 14 |
| 80.02 | 22 |

---

# 3
# Pm4Ag5Ir2
Theoretical X-ray diffraction stick pattern, λ = 1.5418 Å (Cu Kα). Input: DFT lattice parameters and positions (PBE).
No peak broadening, texture or thermal motion is included.

Structural model:
a = 7.515 Å, b = 3.843 Å, c = 9.103 Å
α = 90.00°, β = 94.58°, γ = 90.00°
Positions (direct):
Pm 0.192 0.000 0.357
Pm 0.227 0.000 0.934
Pm 0.773 0.000 0.066
Pm 0.808 0.000 0.643
Ag 0.180 0.500 0.643
Ag 0.458 0.500 0.175
Ag 0.500 0.500 0.500
Ag 0.542 0.500 0.825
Ag 0.820 0.500 0.357
Ir 0.071 0.500 0.145
Ir 0.929 0.500 0.855

Largest 12 diffraction maxima, in order of rising 2θ, 2θ = 15–90°:
| 2θ (°) | I/Imax |
| --- | --- |
| 32.20 | 41 |
| 33.39 | 100 |
| 35.97 | 14 |
| 36.67 | 17 |
| 37.85 | 28 |
| 37.98 | 21 |
| 39.77 | 38 |
| 40.62 | 14 |
| 43.73 | 14 |
| 47.30 | 28 |
| 61.27 | 15 |
| 63.47 | 20 |

---

# 4
# BiAs2I8
Theoretical X-ray diffraction stick pattern, λ = 1.5418 Å (Cu Kα). Input: DFT lattice parameters and positions (PBE).
No peak broadening, texture or thermal motion is included.

Structural model:
a = 8.814 Å, b = 8.814 Å, c = 8.036 Å
α = 91.57°, β = 91.57°, γ = 69.09°
Positions (direct):
Bi 0.000 0.000 0.000
As 0.197 0.197 0.663
As 0.803 0.803 0.337
I 0.103 0.659 0.168
I 0.133 0.133 0.329
I 0.341 0.897 0.832
I 0.376 0.376 0.663
I 0.624 0.624 0.337
I 0.659 0.103 0.168
I 0.867 0.867 0.671
I 0.897 0.341 0.832

Largest 12 diffraction maxima, in order of rising 2θ, 2θ = 15–90°:
| 2θ (°) | I/Imax |
| --- | --- |
| 15.56 | 40 |
| 16.74 | 16 |
| 20.93 | 18 |
| 24.11 | 100 |
| 24.51 | 54 |
| 25.71 | 43 |
| 32.17 | 36 |
| 35.94 | 26 |
| 38.13 | 51 |
| 43.39 | 26 |
| 44.71 | 17 |
| 46.52 | 18 |

---

# 5
# K2LaBr5
Theoretical X-ray diffraction stick pattern, λ = 1.5418 Å (Cu Kα). Input: DFT lattice parameters and positions (PBE).
No peak broadening, texture or thermal motion is included.

Structural model:
a = 13.690 Å, b = 9.354 Å, c = 8.641 Å
α = 90.00°, β = 90.00°, γ = 90.00°
Positions (direct):
K 0.173 0.003 0.048
K 0.173 0.497 0.048
K 0.327 0.503 0.548
K 0.327 0.997 0.548
K 0.673 0.003 0.452
K 0.673 0.497 0.452
K 0.827 0.503 0.952
K 0.827 0.997 0.952
La 0.006 0.250 0.576
La 0.494 0.750 0.076
La 0.506 0.250 0.924
La 0.994 0.750 0.424
Br 0.008 0.250 0.926
Br 0.081 0.544 0.664
Br 0.081 0.956 0.664
Br 0.180 0.250 0.368
Br 0.206 0.750 0.331
Br 0.294 0.250 0.831
Br 0.320 0.750 0.868
Br 0.419 0.044 0.164
Br 0.419 0.456 0.164
Br 0.492 0.750 0.426
Br 0.508 0.250 0.574
Br 0.581 0.544 0.836
Br 0.581 0.956 0.836
Br 0.680 0.250 0.132
Br 0.706 0.750 0.169
Br 0.794 0.250 0.669
Br 0.820 0.750 0.632
Br 0.919 0.044 0.336
Br 0.919 0.456 0.336
Br 0.992 0.750 0.074

Largest 12 diffraction maxima, in order of rising 2θ, 2θ = 15–90°:
| 2θ (°) | I/Imax |
| --- | --- |
| 19.01 | 45 |
| 25.26 | 60 |
| 28.05 | 83 |
| 28.45 | 39 |
| 28.88 | 100 |
| 29.66 | 40 |
| 31.06 | 83 |
| 32.42 | 67 |
| 35.14 | 63 |
| 38.50 | 56 |
| 39.53 | 50 |
| 42.12 | 35 |

---

# 6
# Hf3ScFe8
Theoretical X-ray diffraction stick pattern, λ = 1.5418 Å (Cu Kα). Input: DFT lattice parameters and positions (PBE).
No peak broadening, texture or thermal motion is included.

Structural model:
a = 8.556 Å, b = 8.556 Å, c = 8.556 Å
α = 33.53°, β = 33.53°, γ = 33.53°
Positions (direct):
Hf 0.000 0.000 0.000
Hf 0.126 0.126 0.126
Hf 0.502 0.502 0.502
Sc 0.626 0.626 0.626
Fe 0.063 0.063 0.562
Fe 0.063 0.562 0.063
Fe 0.064 0.563 0.563
Fe 0.313 0.313 0.313
Fe 0.562 0.063 0.063
Fe 0.563 0.064 0.563
Fe 0.563 0.563 0.064
Fe 0.813 0.813 0.813

Largest 12 diffraction maxima, in order of rising 2θ, 2θ = 15–90°:
| 2θ (°) | I/Imax |
| --- | --- |
| 21.11 | 6 |
| 22.05 | 16 |
| 25.51 | 4 |
| 36.39 | 63 |
| 42.96 | 100 |
| 44.97 | 16 |
| 57.54 | 4 |
| 65.49 | 23 |
| 70.02 | 30 |
| 77.30 | 21 |
| 81.57 | 3 |
| 88.58 | 10 |

---

# 7
# Ac6Si3O
Theoretical X-ray diffraction stick pattern, λ = 1.5418 Å (Cu Kα). Input: DFT lattice parameters and positions (PBE).
No peak broadening, texture or thermal motion is included.

Structural model:
a = 6.996 Å, b = 8.333 Å, c = 12.832 Å
α = 90.00°, β = 122.39°, γ = 90.00°
Positions (direct):
Ac 0.080 0.202 0.436
Ac 0.080 0.298 0.936
Ac 0.267 0.668 0.437
Ac 0.267 0.832 0.937
Ac 0.380 0.045 0.237
Ac 0.380 0.455 0.737
Ac 0.620 0.545 0.263
Ac 0.620 0.955 0.763
Ac 0.733 0.168 0.063
Ac 0.733 0.332 0.563
Ac 0.920 0.702 0.064
Ac 0.920 0.798 0.564
Si 0.176 0.114 0.744
Si 0.176 0.386 0.244
Si 0.500 0.000 0.500
Si 0.500 0.500 0.000
Si 0.824 0.614 0.756
Si 0.824 0.886 0.256
O 0.000 0.000 0.000
O 0.000 0.500 0.500

Largest 12 diffraction maxima, in order of rising 2θ, 2θ = 15–90°:
| 2θ (°) | I/Imax |
| --- | --- |
| 22.87 | 25 |
| 26.20 | 49 |
| 27.00 | 53 |
| 27.66 | 100 |
| 27.93 | 50 |
| 28.80 | 36 |
| 29.71 | 23 |
| 29.84 | 25 |
| 29.98 | 43 |
| 34.75 | 24 |
| 45.43 | 25 |
| 50.55 | 41 |

---

# 8
# Ac3Y8Ho
Theoretical X-ray diffraction stick pattern, λ = 1.5418 Å (Cu Kα). Input: DFT lattice parameters and positions (PBE).
No peak broadening, texture or thermal motion is included.

Structural model:
a = 8.937 Å, b = 8.937 Å, c = 8.937 Å
α = 136.84°, β = 98.41°, γ = 97.14°
Positions (direct):
Ac 0.000 0.000 0.000
Ac 0.256 0.500 0.756
Ac 0.744 0.500 0.244
Y 0.080 0.828 0.252
Y 0.262 0.016 0.754
Y 0.262 0.509 0.246
Y 0.424 0.172 0.252
Y 0.576 0.828 0.748
Y 0.738 0.491 0.754
Y 0.738 0.984 0.246
Y 0.920 0.172 0.748
Ho 0.500 0.000 0.500

Largest 12 diffraction maxima, in order of rising 2θ, 2θ = 15–90°:
| 2θ (°) | I/Imax |
| --- | --- |
| 21.70 | 48 |
| 27.13 | 11 |
| 30.22 | 14 |
| 30.57 | 100 |
| 31.17 | 37 |
| 34.80 | 9 |
| 43.54 | 17 |
| 44.23 | 17 |
| 50.12 | 18 |
| 54.26 | 11 |
| 54.39 | 14 |
| 63.60 | 14 |

---

# 9
# Y2HoSc5
Theoretical X-ray diffraction stick pattern, λ = 1.5418 Å (Cu Kα). Input: DFT lattice parameters and positions (PBE).
No peak broadening, texture or thermal motion is included.

Structural model:
a = 7.996 Å, b = 6.869 Å, c = 6.352 Å
α = 74.30°, β = 55.80°, γ = 49.89°
Positions (direct):
Y 0.245 0.755 0.245
Y 0.755 0.245 0.755
Ho 0.329 0.329 0.671
Sc 0.247 0.247 0.253
Sc 0.337 0.832 0.663
Sc 0.747 0.747 0.753
Sc 0.827 0.827 0.173
Sc 0.832 0.337 0.168

Largest 12 diffraction maxima, in order of rising 2θ, 2θ = 15–90°:
| 2θ (°) | I/Imax |
| --- | --- |
| 17.06 | 20 |
| 22.37 | 15 |
| 27.27 | 8 |
| 30.04 | 25 |
| 33.55 | 24 |
| 34.51 | 100 |
| 45.64 | 15 |
| 53.33 | 20 |
| 60.60 | 18 |
| 64.50 | 20 |
| 65.09 | 14 |
| 88.96 | 12 |

---

# 10
# Fe2AsOs
Theoretical X-ray diffraction stick pattern, λ = 1.5418 Å (Cu Kα). Input: DFT lattice parameters and positions (PBE).
No peak broadening, texture or thermal motion is included.

Structural model:
a = 4.550 Å, b = 4.550 Å, c = 4.362 Å
α = 105.67°, β = 105.67°, γ = 37.54°
Positions (direct):
Fe 0.000 0.000 0.000
Fe 0.738 0.738 0.126
As 0.489 0.489 0.459
Os 0.235 0.235 0.629

Largest 12 diffraction maxima, in order of rising 2θ, 2θ = 15–90°:
| 2θ (°) | I/Imax |
| --- | --- |
| 21.25 | 31 |
| 21.52 | 24 |
| 25.64 | 21 |
| 32.44 | 25 |
| 37.29 | 22 |
| 40.86 | 100 |
| 42.53 | 36 |
| 43.28 | 18 |
| 43.85 | 45 |
| 45.94 | 75 |
| 54.57 | 15 |
| 80.02 | 16 |

---

# 11
# Nd5YGa6
Theoretical X-ray diffraction stick pattern, λ = 1.5418 Å (Cu Kα). Input: DFT lattice parameters and positions (PBE).
No peak broadening, texture or thermal motion is included.

Structural model:
a = 9.009 Å, b = 9.009 Å, c = 5.197 Å
α = 106.74°, β = 106.74°, γ = 120.10°
Positions (direct):
Nd 0.000 0.000 0.000
Nd 0.164 0.836 0.500
Nd 0.329 0.671 0.000
Nd 0.671 0.329 0.000
Nd 0.836 0.164 0.500
Y 0.500 0.500 0.500
Ga 0.093 0.420 0.257
Ga 0.263 0.263 0.763
Ga 0.420 0.093 0.257
Ga 0.580 0.907 0.743
Ga 0.737 0.737 0.237
Ga 0.907 0.580 0.743

Largest 12 diffraction maxima, in order of rising 2θ, 2θ = 15–90°:
| 2θ (°) | I/Imax |
| --- | --- |
| 24.21 | 11 |
| 34.51 | 100 |
| 42.60 | 3 |
| 49.60 | 18 |
| 55.92 | 4 |
| 61.82 | 33 |
| 61.89 | 3 |
| 72.73 | 5 |
| 72.80 | 5 |
| 77.95 | 2 |
| 83.05 | 10 |
| 83.16 | 5 |

---

# 12
# V8AuC2
Theoretical X-ray diffraction stick pattern, λ = 1.5418 Å (Cu Kα). Input: DFT lattice parameters and positions (PBE).
No peak broadening, texture or thermal motion is included.

Structural model:
a = 7.214 Å, b = 7.214 Å, c = 7.214 Å
α = 144.81°, β = 141.02°, γ = 53.52°
Positions (direct):
V 0.112 0.112 0.000
V 0.157 0.402 0.755
V 0.272 0.772 0.500
V 0.353 0.598 0.755
V 0.647 0.402 0.245
V 0.728 0.228 0.500
V 0.843 0.598 0.245
V 0.888 0.888 0.000
Au 0.500 0.000 0.500
C 0.268 0.268 0.000
C 0.732 0.732 0.000

Largest 12 diffraction maxima, in order of rising 2θ, 2θ = 15–90°:
| 2θ (°) | I/Imax |
| --- | --- |
| 19.69 | 37 |
| 27.60 | 24 |
| 27.84 | 34 |
| 39.50 | 88 |
| 39.67 | 42 |
| 40.67 | 39 |
| 41.40 | 55 |
| 43.51 | 100 |
| 47.13 | 25 |
| 58.68 | 25 |
| 76.99 | 22 |
| 81.24 | 21 |